Record 1
Simulated X-ray powder pattern of Li2La3Tl9 for Cu Kα (λ = 1.5418 Å), from a DFT-relaxed cell (GGA-PBE, Alexandria).
Peak positions follow from Bragg's law for the DFT cell and can differ from measured ones.

Most intense lines, 2θ from 10° to 80°, in order of rising 2θ:
- 2θ 30.6, rel. 34.0
- 2θ 30.9, rel. 100.0
- 2θ 35.7, rel. 68.5
- 2θ 51.3, rel. 24.1
- 2θ 51.5, rel. 22.8
- 2θ 60.9, rel. 13.6
- 2θ 61.2, rel. 25.9
- 2θ 61.3, rel. 12.9
- 2θ 64.3, rel. 11.1
- 2θ 75.7, rel. 7.0

Structural model:
```
Li2La3Tl9
1.0
7.092 0.000 0.000
-3.546 6.142 0.000
0.000 0.000 8.755
Li La Tl
2 3 9
direct
0.333 0.667 0.301
0.667 0.333 0.699
0.000 0.000 0.500
0.333 0.667 0.832
0.667 0.333 0.168
0.000 0.500 0.500
0.151 0.302 0.152
0.151 0.849 0.152
0.302 0.151 0.848
0.500 0.000 0.500
0.500 0.500 0.500
0.698 0.849 0.152
0.849 0.151 0.848
0.849 0.698 0.848
```

=====

Record 2
Simulated X-ray powder pattern of CaAlCu2Si for Cu Kα (λ = 1.5418 Å), from a DFT-relaxed cell (GGA-PBE, Alexandria).
Peak positions follow from Bragg's law for the DFT cell and can differ from measured ones.

Most intense lines, 2θ from 10° to 80°, in order of rising 2θ:
- 2θ 23.6, rel. 28.6
- 2θ 33.7, rel. 53.5
- 2θ 35.8, rel. 100.0
- 2θ 44.9, rel. 26.6
- 2θ 45.2, rel. 26.2
- 2θ 46.7, rel. 34.7
- 2θ 48.3, rel. 22.6
- 2θ 57.3, rel. 16.4
- 2θ 65.6, rel. 18.7
- 2θ 68.3, rel. 13.7

Structural model:
```
CaAlCu2Si
1.0
4.016 0.000 0.000
0.000 4.038 0.000
0.000 0.000 10.652
Ca Al Cu Si
2 2 4 2
direct
0.000 0.000 0.000
0.500 0.500 0.500
0.000 0.500 0.747
0.500 0.000 0.247
0.000 0.000 0.610
0.000 0.500 0.263
0.500 0.000 0.763
0.500 0.500 0.110
0.000 0.000 0.390
0.500 0.500 0.890
```

=====

What is the formula in the first record? Li2La3Tl9

=====

What is the formula in the second record? CaAlCu2Si